# SmGa2SiTc2
Theoretical PXRD pattern, Cu Ka. Input: a cell relaxed with GGA-PBE.

Peak list (10 most intense, 10° ≤ 2θ ≤ 80°, low angle first)
- (1 0 1), 2θ 25.34, intensity 19
- (0 0 2), 2θ 31.85, intensity 13
- (1 1 1), 2θ 32.31, intensity 100
- (1 0 2), 2θ 37.73, intensity 61
- (2 0 0), 2θ 40.04, intensity 68
- (2 0 2), 2θ 52.05, intensity 13
- (2 1 2), 2θ 56.19, intensity 38
- (1 1 3), 2θ 57.04, intensity 14
- (2 2 0), 2θ 57.92, intensity 23
- (3 1 1), 2θ 67.90, intensity 23

Atomic structure:
a = 4.5032 Å, b = 4.5032 Å, c = 5.6202 Å
α = 90.00°, β = 90.00°, γ = 90.00°
Space group P4/mmm (No. 123)
Symmetry-distinct sites (fractional):
Sm (0.0000, 0.0000, 0.0000) [1 per cell]
Ga (0.5000, 0.5000, 0.2360) [2 per cell]
Si (0.0000, 0.0000, 0.5000) [1 per cell]
Tc (0.0000, 0.5000, 0.5000) [2 per cell]

---

# SrGaSi2
Theoretical PXRD pattern, Cu Ka. Input: a cell relaxed with GGA-PBE.

Peak list (10 most intense, 10° ≤ 2θ ≤ 80°, low angle first)
- (0 0 2), 2θ 21.94, intensity 13
- (1 1 1), 2θ 28.03, intensity 100
- (1 0 2), 2θ 30.31, intensity 16
- (0 2 0), 2θ 30.67, intensity 11
- (0 1 3), 2θ 36.68, intensity 13
- (0 2 2), 2θ 38.03, intensity 32
- (2 0 0), 2θ 42.00, intensity 16
- (1 1 3), 2θ 42.45, intensity 21
- (1 3 1), 2θ 52.91, intensity 22
- (2 2 2), 2θ 57.94, intensity 18

Atomic structure:
a = 4.3022 Å, b = 5.8304 Å, c = 8.1013 Å
α = 90.00°, β = 90.00°, γ = 90.00°
Space group Amm2 (No. 38)
Symmetry-distinct sites (fractional):
Sr (0.0000, 0.0000, 0.0000) [2 per cell]
Ga (0.5000, 0.0000, 0.5701) [2 per cell]
Si (0.5000, 0.1971, 0.2833) [4 per cell]

---

# Sr3Ga2Si3
Theoretical PXRD pattern, Cu Ka. Input: a cell relaxed with GGA-PBE.

Peak list (10 most intense, 10° ≤ 2θ ≤ 80°, low angle first)
- (1 1 2), 2θ 24.70, intensity 17
- (1 3 0), 2θ 30.83, intensity 100
- (1 1 4), 2θ 31.49, intensity 83
- (0 0 6), 2θ 33.61, intensity 28
- (0 4 4), 2θ 37.92, intensity 34
- (1 3 4), 2θ 38.34, intensity 17
- (2 0 0), 2θ 42.05, intensity 50
- (1 3 6), 2θ 46.25, intensity 31
- (2 0 6), 2θ 54.86, intensity 18
- (2 4 4), 2θ 57.90, intensity 19

Atomic structure:
a = 4.2974 Å, b = 11.7900 Å, c = 15.9975 Å
α = 90.00°, β = 90.00°, γ = 90.00°
Space group Cmcm (No. 63)
Symmetry-distinct sites (fractional):
Sr (0.0000, 0.0313, 0.2500) [4 per cell]
Sr (0.0000, 0.3405, 0.0942) [8 per cell]
Ga (0.0000, 0.3699, 0.6179) [8 per cell]
Si (0.0000, 0.0695, 0.0523) [8 per cell]
Si (0.0000, 0.2505, 0.7500) [4 per cell]

---

# Sr2GaSi3
Theoretical PXRD pattern, Cu Ka. Input: a cell relaxed with GGA-PBE.

Peak list (10 most intense, 10° ≤ 2θ ≤ 80°, low angle first)
- (2 0 2), 2θ 24.64, intensity 13
- (2 2 2), 2θ 31.25, intensity 100
- (0 2 4), 2θ 31.41, intensity 50
- (0 4 0), 2θ 38.39, intensity 24
- (4 0 0), 2θ 43.25, intensity 17
- (2 0 6), 2θ 43.61, intensity 33
- (4 2 4), 2θ 54.42, intensity 20
- (4 4 0), 2θ 59.19, intensity 13
- (2 4 6), 2θ 59.48, intensity 26
- (0 6 4), 2θ 65.03, intensity 17

Atomic structure:
a = 8.3671 Å, b = 9.3800 Å, c = 14.3401 Å
α = 90.00°, β = 90.00°, γ = 90.00°
Space group Fmmm (No. 69)
Symmetry-distinct sites (fractional):
Sr (0.0000, 0.2470, 0.0000) [8 per cell]
Sr (0.2500, 0.2500, 0.2500) [8 per cell]
Ga (0.0000, 0.0000, 0.3339) [8 per cell]
Si (0.0000, 0.0000, 0.1640) [8 per cell]
Si (0.2469, 0.0000, 0.0826) [16 per cell]

---

# Sr3Ga3Si
Theoretical PXRD pattern, Cu Ka. Input: a cell relaxed with GGA-PBE.

Peak list (10 most intense, 10° ≤ 2θ ≤ 80°, low angle first)
- (1 1 2), 2θ 26.18, intensity 15
- (4 0 -2), 2θ 29.50, intensity 19
- (3 1 -1), 2θ 30.10, intensity 100
- (1 1 -4), 2θ 30.86, intensity 60
- (3 1 -4), 2θ 34.56, intensity 19
- (4 0 -5), 2θ 35.99, intensity 25
- (3 1 2), 2θ 36.28, intensity 40
- (0 0 6), 2θ 37.03, intensity 20
- (0 2 0), 2θ 41.14, intensity 33
- (7 1 -3), 2θ 57.11, intensity 22

Atomic structure:
a = 12.1385 Å, b = 4.3884 Å, c = 15.4310 Å
α = 90.00°, β = 109.27°, γ = 90.00°
Space group C2/m (No. 12)
Symmetry-distinct sites (fractional):
Sr (0.0160, 0.0000, 0.3886) [4 per cell]
Sr (0.1112, 0.0000, 0.9226) [4 per cell]
Sr (0.2398, 0.0000, 0.2347) [4 per cell]
Ga (0.0306, 0.5000, 0.2340) [4 per cell]
Ga (0.0992, 0.5000, 0.0784) [4 per cell]
Ga (0.1730, 0.5000, 0.5405) [4 per cell]
Si (0.2159, 0.5000, 0.3841) [4 per cell]

---

# Tb7Ga2Si2
Theoretical PXRD pattern, Cu Ka. Input: a cell relaxed with GGA-PBE.

Peak list (10 most intense, 10° ≤ 2θ ≤ 80°, low angle first)
- (0 0 2), 2θ 24.50, intensity 21
- (2 0 1), 2θ 26.71, intensity 30
- (1 1 2), 2θ 28.51, intensity 50
- (2 2 0), 2θ 28.91, intensity 100
- (0 4 0), 2θ 33.05, intensity 61
- (0 0 3), 2θ 37.09, intensity 58
- (2 2 2), 2θ 38.25, intensity 79
- (4 0 0), 2θ 48.44, intensity 31
- (2 6 0), 2θ 56.51, intensity 20
- (4 0 3), 2θ 62.54, intensity 25

Atomic structure:
a = 7.5140 Å, b = 10.8418 Å, c = 7.2656 Å
α = 90.00°, β = 90.00°, γ = 90.00°
Space group Cmmm (No. 65)
Symmetry-distinct sites (fractional):
Tb (0.0000, 0.0000, 0.0000) [2 per cell]
Tb (0.0000, 0.5000, 0.2619) [4 per cell]
Tb (0.2500, 0.2500, 0.2899) [8 per cell]
Ga (0.0000, 0.2899, 0.0000) [4 per cell]
Si (0.1643, 0.0000, 0.5000) [4 per cell]